(1)
This entry pairs a crystal structure of NaH12N3 with its computed powder diffraction line list. Radiation: Cu Kα (weighted mean of Kα1 and Kα2). Structure: DFT lattice parameters and positions (GGA-PBE).
Peak positions follow from Bragg's law for the DFT cell and can differ from measured ones.

Atomic structure:
Cell lengths 8.9326, 8.9326, 10.4047 Å; angles 90.00, 90.00, 120.00 degrees
Space group R3m (No. 160, hexagonal axes)
Asymmetric unit:
Na: 0.0000 0.0000 0.0000
H: 0.0391 0.2701 0.3354
H: 0.1997 0.3994 0.2313
H: 0.2212 0.1106 0.7274
N: 0.1735 0.3470 0.3242

Main lines, by angle (10 to 80 degrees two-theta):
- (0 2 1), 24.6°, I 100
- (0 0 3), 25.7°, I 29
- (2 0 2), 28.8°, I 57
- (2 2 0), 40.4°, I 16
- (0 2 4), 41.9°, I 14
- (4 0 1), 47.8°, I 8
- (2 2 3), 48.5°, I 15
- (2 0 5), 49.8°, I 7
- (0 4 2), 50.3°, I 7
- (2 4 1), 64.4°, I 5



(2)
This entry pairs a crystal structure of Na3P3H5N3O7 with its computed powder diffraction line list. Radiation: Cu Kα (weighted mean of Kα1 and Kα2). Structure: DFT lattice parameters and positions (GGA-PBE).
Peak positions follow from Bragg's law for the DFT cell and can differ from measured ones.

Atomic structure:
Cell lengths 9.942, 12.449, 7.729 Å; angles 90.00, 104.39, 90.00 degrees
Space group C2 (No. 5)
Asymmetric unit:
Na: 0.000 0.000 0.000
Na: 0.000 0.300 0.000
Na: 0.121 0.140 0.385
Na: 0.228 0.852 0.430
P: 0.137 0.765 0.807
P: 0.143 0.526 0.828
P: 0.229 0.153 0.846
H: 0.009 0.365 0.606
H: 0.022 0.944 0.605
H: 0.039 0.642 0.296
H: 0.118 0.791 0.091
H: 0.124 0.506 0.118
N: 0.069 0.643 0.742
N: 0.192 0.542 0.053
N: 0.192 0.760 0.032
O: 0.000 0.317 0.500
O: 0.000 0.993 0.500
O: 0.018 0.846 0.766
O: 0.029 0.441 0.793
O: 0.079 0.151 0.856
O: 0.228 0.007 0.239
O: 0.236 0.664 0.333
O: 0.239 0.283 0.271

Main lines, by angle (10 to 80 degrees two-theta):
- (0 0 1), 11.8°, I 80
- (0 2 0), 14.2°, I 51
- (1 1 1), 18.2°, I 41
- (2 0 -1), 19.3°, I 41
- (2 2 0), 23.4°, I 60
- (1 3 -1), 25.2°, I 45
- (1 3 1), 27.3°, I 81
- (3 1 -1), 28.3°, I 88
- (1 1 2), 28.6°, I 46
- (1 3 -2), 31.8°, I 100